[1]
Calculated powder diffractogram
Compound: Ho2Sc2CI2Br3
Radiation: CuKα
Structure: the PBE geometry in OQMD
Neutral-atom scattering factors, no anomalous dispersion.

Atomic structure:
```
Ho2Sc2CI2Br3
1.0
9.9407 -1.8826 0.0000
9.9407 1.8826 0.0000
-1.5351 0.0000 7.8895
Ho Sc C I Br
2 2 1 2 3
Cartesian
-0.3039 0.0000 1.5842
18.6502 0.0000 6.3053
6.2188 0.0000 7.4963
12.1275 0.0000 0.3932
9.9407 0.0000 0.0000
2.6334 0.0000 2.5707
15.7129 0.0000 5.3188
1.6629 0.0000 6.5572
9.1732 0.0000 3.9447
16.6834 0.0000 1.3322
```

Top 10 peaks for 2θ from 10° to 90°, by angle:
- 2θ = 22.5°, 3.945 Å, rel. 18
- 2θ = 22.6°, 3.927 Å, rel. 20
- 2θ = 24.1°, 3.697 Å, rel. 46
- 2θ = 27.4°, 3.253 Å, rel. 62
- 2θ = 32.6°, 2.748 Å, rel. 100
- 2θ = 33.1°, 2.710 Å, rel. 17
- 2θ = 40.3°, 2.241 Å, rel. 24
- 2θ = 42.9°, 2.107 Å, rel. 30
- 2θ = 43.3°, 2.091 Å, rel. 28
- 2θ = 48.4°, 1.882 Å, rel. 19

[2]
Calculated powder diffractogram
Compound: Ho2Sc2CI2Br3
Radiation: CuKα
Structure: the PBE geometry in OQMD
Neutral-atom scattering factors, no anomalous dispersion.

Atomic structure:
```
Ho2Sc2CI2Br3
1.0
9.7997 -1.8912 0.0000
9.7997 1.8912 0.0000
-1.5166 0.0000 7.7758
Ho Sc C I Br
2 2 1 2 3
Cartesian
2.2836 0.0000 0.4060
15.7992 0.0000 7.3698
9.5168 0.0000 1.4776
8.5660 0.0000 6.2982
0.0000 0.0000 0.0000
5.7779 0.0000 5.0705
12.3048 0.0000 2.7053
-0.7583 0.0000 3.8879
6.6321 0.0000 1.4918
11.4506 0.0000 6.2840
```

Top 10 peaks for 2θ from 10° to 90°, by angle:
- 2θ = 11.4°, 7.776 Å, rel. 26
- 2θ = 18.4°, 4.809 Å, rel. 56
- 2θ = 19.8°, 4.493 Å, rel. 25
- 2θ = 27.8°, 3.206 Å, rel. 22
- 2θ = 28.7°, 3.115 Å, rel. 16
- 2θ = 30.8°, 2.906 Å, rel. 35
- 2θ = 32.7°, 2.736 Å, rel. 100
- 2θ = 37.7°, 2.388 Å, rel. 33
- 2θ = 38.0°, 2.370 Å, rel. 22
- 2θ = 48.1°, 1.891 Å, rel. 26

[3]
Calculated powder diffractogram
Compound: Sm2Ho2CIBr4
Radiation: CuKα
Structure: the PBE geometry in OQMD
Neutral-atom scattering factors, no anomalous dispersion.

Atomic structure:
```
Sm2Ho2CIBr4
1.0
8.9607 -1.9553 0.0000
8.9607 1.9553 0.0000
-2.0173 0.0000 8.4521
Sm Ho C I Br
2 2 1 1 4
Cartesian
-0.6071 0.0000 2.5827
16.5112 0.0000 5.8693
5.6364 0.0000 3.6436
10.2677 0.0000 4.8085
7.9521 0.0000 4.2260
8.9607 0.0000 0.0000
1.3775 0.0000 6.8867
2.3855 0.0000 2.9712
13.5186 0.0000 5.4809
14.5266 0.0000 1.5654
```

Top 10 peaks for 2θ from 10° to 90°, by angle:
- 2θ = 10.1°, 8.716 Å, rel. 17
- 2θ = 10.5°, 8.452 Å, rel. 36
- 2θ = 20.6°, 4.301 Å, rel. 10
- 2θ = 28.2°, 3.169 Å, rel. 10
- 2θ = 30.8°, 2.906 Å, rel. 100
- 2θ = 34.3°, 2.618 Å, rel. 9
- 2θ = 34.5°, 2.602 Å, rel. 11
- 2θ = 43.9°, 2.062 Å, rel. 15
- 2θ = 44.2°, 2.048 Å, rel. 15
- 2θ = 46.4°, 1.955 Å, rel. 11

[4]
Calculated powder diffractogram
Compound: Y2Ho2CI3Br2
Radiation: CuKα
Structure: the PBE geometry in OQMD
Neutral-atom scattering factors, no anomalous dispersion.

Atomic structure:
```
Y2Ho2CI3Br2
1.0
9.2539 -1.9550 0.0000
9.2539 1.9550 0.0000
-1.7982 0.0000 8.2479
Y Ho C I Br
2 2 1 3 2
Cartesian
2.3356 0.0000 0.5698
14.3741 0.0000 7.6781
8.9007 0.0000 1.5727
7.8090 0.0000 6.6752
0.0000 0.0000 0.0000
-0.8991 0.0000 4.1240
5.7578 0.0000 1.5174
10.9519 0.0000 6.7305
5.1340 0.0000 5.5681
11.5757 0.0000 2.6798
```

Top 10 peaks for 2θ from 10° to 90°, by angle:
- 2θ = 10.7°, 8.248 Å, rel. 26
- 2θ = 23.3°, 3.822 Å, rel. 17
- 2θ = 28.1°, 3.177 Å, rel. 16
- 2θ = 29.6°, 3.014 Å, rel. 51
- 2θ = 31.2°, 2.868 Å, rel. 100
- 2θ = 33.8°, 2.653 Å, rel. 40
- 2θ = 43.3°, 2.089 Å, rel. 30
- 2θ = 43.8°, 2.067 Å, rel. 28
- 2θ = 46.4°, 1.955 Å, rel. 20
- 2θ = 56.1°, 1.640 Å, rel. 17

[5]
Calculated powder diffractogram
Compound: Y2Ho2CI4Br
Radiation: CuKα
Structure: the PBE geometry in OQMD
Neutral-atom scattering factors, no anomalous dispersion.

Atomic structure:
```
Y2Ho2CI4Br
1.0
9.5960 -1.9633 0.0000
9.5960 1.9633 0.0000
-1.7499 0.0000 8.1514
Y Ho C I Br
2 2 1 4 1
Cartesian
-0.5158 0.0000 2.4649
17.9579 0.0000 5.6865
6.4003 0.0000 3.5595
11.0418 0.0000 4.5919
8.7211 0.0000 4.0757
1.6333 0.0000 6.8915
2.6423 0.0000 2.5855
14.7998 0.0000 5.5659
15.8088 0.0000 1.2599
9.5960 0.0000 0.0000
```

Top 10 peaks for 2θ from 10° to 90°, by angle:
- 2θ = 10.9°, 8.151 Å, rel. 33
- 2θ = 18.9°, 4.691 Å, rel. 16
- 2θ = 28.5°, 3.127 Å, rel. 36
- 2θ = 30.1°, 2.966 Å, rel. 21
- 2θ = 31.3°, 2.858 Å, rel. 100
- 2θ = 33.0°, 2.713 Å, rel. 22
- 2θ = 42.7°, 2.115 Å, rel. 21
- 2θ = 43.0°, 2.104 Å, rel. 20
- 2θ = 43.4°, 2.084 Å, rel. 16
- 2θ = 46.2°, 1.963 Å, rel. 18

[6]
Calculated powder diffractogram
Compound: Pr2Ho2CBr5
Radiation: CuKα
Structure: the PBE geometry in OQMD
Neutral-atom scattering factors, no anomalous dispersion.

Atomic structure:
```
Pr2Ho2CBr5
1.0
9.0339 -1.9593 0.0000
9.0339 1.9593 0.0000
-1.8813 0.0000 8.2971
Pr Ho C Br
2 2 1 5
Cartesian
-0.5229 0.0000 2.4357
16.7094 0.0000 5.8615
5.7648 0.0000 3.5667
10.4217 0.0000 4.7304
8.0933 0.0000 4.1486
1.5076 0.0000 6.8096
2.5016 0.0000 2.9062
9.0339 0.0000 0.0000
13.6849 0.0000 5.3909
14.6789 0.0000 1.4875
```

Top 10 peaks for 2θ from 10° to 90°, by angle:
- 2θ = 10.0°, 8.810 Å, rel. 16
- 2θ = 10.7°, 8.297 Å, rel. 65
- 2θ = 30.4°, 2.937 Å, rel. 37
- 2θ = 30.7°, 2.915 Å, rel. 20
- 2θ = 31.0°, 2.882 Å, rel. 100
- 2θ = 34.2°, 2.622 Å, rel. 34
- 2θ = 42.5°, 2.127 Å, rel. 16
- 2θ = 43.8°, 2.067 Å, rel. 24
- 2θ = 44.3°, 2.047 Å, rel. 24
- 2θ = 46.3°, 1.959 Å, rel. 18